(1)
# PmSmO3
Simulated powder XRD pattern, copper Kα. Input: a crystal structure in Alexandria, relaxed with PBE.
Kinematic intensities with the Lorentz-polarization factor, no thermal factor.

Top 10 peaks for 10° ≤ 2θ ≤ 80°, most intense first:
- 2θ = 27.6°, I 100.0
- 2θ = 30.7°, I 93.0
- 2θ = 44.9°, I 46.6
- 2θ = 41.8°, I 38.4
- 2θ = 52.8°, I 37.5
- 2θ = 54.7°, I 26.3
- 2θ = 20.5°, I 24.1
- 2θ = 57.7°, I 17.5
- 2θ = 75.3°, I 14.7
- 2θ = 71.1°, I 13.3

Structural model:
```
data_PmSmO3
_chemical_formula_sum 'Pm6 Sm6 O18'
_cell_length_a 5.8170
_cell_length_b 5.8170
_cell_length_c 16.8469
_cell_angle_alpha 90.00
_cell_angle_beta 90.00
_cell_angle_gamma 120.00
_symmetry_space_group_name_H-M 'R 3 2'
_symmetry_Int_Tables_number 155
_symmetry_space_group_name_Hall 'R 3 2"'
loop_
_atom_site_label
_atom_site_fract_x
_atom_site_fract_y
_atom_site_fract_z
_atom_site_occupancy
Pm1 0.0000 0.0000 0.1451 1
Sm1 0.0000 0.0000 0.3539 1
O1 0.0024 0.2926 0.2502 1
```



(2)
# Pm3SmO6
Simulated powder XRD pattern, copper Kα. Input: a crystal structure in Alexandria, relaxed with PBE.
Kinematic intensities with the Lorentz-polarization factor, no thermal factor.

Top 10 peaks for 10° ≤ 2θ ≤ 80°, most intense first:
- 2θ = 28.3°, I 100.0
- 2θ = 31.3°, I 84.5
- 2θ = 29.0°, I 46.3
- 2θ = 25.6°, I 42.2
- 2θ = 48.2°, I 39.1
- 2θ = 22.7°, I 36.0
- 2θ = 41.3°, I 31.6
- 2θ = 50.1°, I 26.9
- 2θ = 31.0°, I 21.0
- 2θ = 40.6°, I 20.5

Structural model:
```
data_Pm3SmO6
_chemical_formula_sum 'Pm18 Sm6 O36'
_cell_length_a 9.9925
_cell_length_b 9.9925
_cell_length_c 11.7415
_cell_angle_alpha 90.00
_cell_angle_beta 90.00
_cell_angle_gamma 120.00
_symmetry_space_group_name_H-M 'R -3'
_symmetry_Int_Tables_number 148
_symmetry_space_group_name_Hall '-R 3'
loop_
_atom_site_label
_atom_site_fract_x
_atom_site_fract_y
_atom_site_fract_z
_atom_site_occupancy
Pm1 0.0379 0.2652 0.2107 1
Sm1 0.0000 0.0000 0.0000 1
Sm2 0.0000 0.0000 0.5000 1
O1 0.0273 0.2194 0.4042 1
O2 0.0280 0.1870 0.8697 1
```



(3)
# PmSm2TaO8
Simulated powder XRD pattern, copper Kα. Input: a crystal structure in Alexandria, relaxed with PBE.
Kinematic intensities with the Lorentz-polarization factor, no thermal factor.

Top 10 peaks for 10° ≤ 2θ ≤ 80°, most intense first:
- 2θ = 28.4°, I 100.0
- 2θ = 28.6°, I 98.8
- 2θ = 47.1°, I 69.2
- 2θ = 33.4°, I 41.4
- 2θ = 56.6°, I 29.7
- 2θ = 57.0°, I 28.4
- 2θ = 32.2°, I 22.5
- 2θ = 47.7°, I 17.2
- 2θ = 55.1°, I 15.9
- 2θ = 55.3°, I 15.6

Structural model:
```
data_PmSm2TaO8
_chemical_formula_sum 'Pm1 Sm2 Ta1 O8'
_cell_length_a 3.8147
_cell_length_b 5.5550
_cell_length_c 7.5376
_cell_angle_alpha 90.00
_cell_angle_beta 90.06
_cell_angle_gamma 90.00
_symmetry_space_group_name_H-M 'P 1 2/m 1'
_symmetry_Int_Tables_number 10
loop_
_symmetry_equiv_pos_as_xyz
'x,y,z'
'-x,-y,-z'
'-x,y,-z'
'x,-y,z'
loop_
_atom_site_label
_atom_site_fract_x
_atom_site_fract_y
_atom_site_fract_z
_atom_site_occupancy
Pm1 0.0000 0.0000 0.0000 1
Sm1 0.5002 0.5000 0.2499 1
Ta1 0.0000 0.0000 0.5000 1
O1 0.0003 0.2343 0.2882 1
O2 0.5000 0.2074 0.5000 1
O3 0.5000 0.2558 0.0000 1
```